Simulated X-ray diffraction stick pattern
Compound: Li6Fe5CoO12
Radiation: Cu Kα
Structure: a DFT-relaxed cell (GGA+U, Alexandria)

Crystal structure
```
data_Li6Fe5CoO12
_space_group_name_H-M_alt 'C 1 2/m 1'
_space_group_IT_number 12
_space_group_name_Hall '-C 2y'
_cell_length_a 4.940
_cell_length_b 8.558
_cell_length_c 9.917
_cell_angle_alpha 90.00
_cell_angle_beta 99.41
_cell_angle_gamma 90.00
loop_
_atom_site_label
_atom_site_type_symbol
_atom_site_fract_x
_atom_site_fract_y
_atom_site_fract_z
Li1 Li 0.086 0.165 0.256
Li2 Li 0.089 0.500 0.255
Fe1 Fe 0.000 0.167 0.000
Fe2 Fe 0.000 0.333 0.500
Fe3 Fe 0.000 0.500 0.000
Co1 Co 0.000 0.000 0.500
O1 O 0.130 0.000 0.889
O2 O 0.130 0.333 0.889
O3 O 0.202 0.165 0.609
O4 O 0.206 0.500 0.609
```

Main lines, most intense first (10° ≤ 2θ ≤ 90°):
hkl	2θ (°)	d [Å]	intensity
0 0 2	18.13	4.892	100
1 3 3	48.15	1.890	30
1 3 -1	36.90	2.436	29
2 0 2	44.20	2.049	28
2 0 -2	38.45	2.341	25
0 6 0	65.44	1.426	18
3 3 1	68.53	1.369	12
1 3 -5	57.71	1.598	12
2 0 -3	42.47	2.128	9
1 3 5	63.08	1.474	7